Computed powder XRD pattern
Compound: Ce2AlTc
Radiation: Cu Kα (weighted mean of Kα1 and Kα2)
Structure: a structure optimized by DFT (GGA-PBE)
Lines closer than 0.1° are merged.

Structure:
a b c (Å): 5.582 5.988 12.175
angles (deg): 90.00 115.19 90.00
Atoms (fractional coordinates):
Ce1 0.027 0.238 0.098
Ce2 0.027 0.262 0.598
Ce3 0.359 0.165 0.400
Ce4 0.359 0.335 0.900
Ce5 0.641 0.665 0.100
Ce6 0.641 0.835 0.600
Ce7 0.973 0.738 0.402
Ce8 0.973 0.762 0.902
Al1 0.251 0.737 0.709
Al2 0.251 0.763 0.209
Al3 0.749 0.237 0.791
Al4 0.749 0.263 0.291
Tc1 0.434 0.052 0.102
Tc2 0.434 0.448 0.602
Tc3 0.566 0.552 0.398
Tc4 0.566 0.948 0.898

Largest 8 diffraction maxima, sorted by position, 2θ = 5–70°:
hkl 0 0 2, 16.1°, intensity 42.3; hkl 1 1 0, 23.0°, intensity 43.0; hkl 1 1 -2, 23.4°, intensity 47.6; hkl 1 1 2, 32.4°, intensity 100.0; hkl 0 0 4, 32.5°, intensity 74.7; hkl 1 1 -4, 33.2°, intensity 88.8; hkl 2 1 -2, 35.5°, intensity 75.0; hkl 0 2 3, 38.8°, intensity 41.8